Simulated X-ray powder pattern
Compound: V2O3F
Radiation: λ = 1.5418 Å (Cu Kα)
Structure: DFT lattice parameters and positions (PBE+U)

Main lines, sorted by position (2θ = 10–80°):
two_theta, I_rel
27.0, 91.6
28.0, 92.3
35.1, 100.0
40.0, 20.7
40.7, 19.7
53.0, 60.8
54.2, 53.8
55.6, 18.1
60.0, 18.9
68.4, 40.6

Cell and atoms:
a b c (Å): 7.299 7.299 6.379
angles (deg): 90.00 90.00 130.01
Element x y z (fractional)
V1 0.118 0.882 0.750
V2 0.127 0.380 0.750
V3 0.373 0.627 0.250
V4 0.380 0.127 0.250
V5 0.620 0.873 0.750
V6 0.627 0.373 0.750
V7 0.873 0.620 0.250
V8 0.882 0.118 0.250
O1 0.025 0.975 0.250
O2 0.125 0.374 0.051
O3 0.125 0.374 0.449
O4 0.276 0.724 0.750
O5 0.374 0.125 0.551
O6 0.374 0.125 0.949
O7 0.626 0.875 0.051
O8 0.626 0.875 0.449
O9 0.724 0.276 0.250
O10 0.875 0.626 0.551
O11 0.875 0.626 0.949
O12 0.975 0.025 0.750
F1 0.224 0.776 0.250
F2 0.476 0.524 0.750
F3 0.524 0.476 0.250
F4 0.776 0.224 0.750